This entry pairs a crystal structure of V3Pb5F19 with its simulated powder diffractogram. Radiation: Cu Kα. Structure: a PBE+U-relaxed structure.

Principal peaks in the range 15° ≤ 2θ ≤ 90°, by angle:
| 2θ (°) | Rel. int. |
| --- | --- |
| 17.42 | 37.0 |
| 21.97 | 83.4 |
| 24.53 | 86.6 |
| 27.24 | 65.9 |
| 27.43 | 100.0 |
| 35.27 | 29.5 |
| 42.06 | 41.2 |
| 42.92 | 30.0 |
| 43.72 | 26.9 |
| 49.45 | 38.3 |

Structural model:
```
data_V3Pb5F19
_space_group_name_H-M_alt 'P 1'
_space_group_IT_number 1
_cell_length_a 11.1146
_cell_length_b 11.1146
_cell_length_c 11.1146
_cell_angle_alpha 97.62
_cell_angle_beta 97.62
_cell_angle_gamma 137.30
loop_
_space_group_symop_operation_xyz
'x,y,z'
loop_
_atom_site_label
_atom_site_fract_x
_atom_site_fract_y
_atom_site_fract_z
V1 0.0000 0.0000 0.0000
V2 0.0635 0.5635 0.1849
V3 0.3786 0.8786 0.8151
V4 0.5000 0.5000 0.0000
V5 0.5635 0.3786 0.5000
V6 0.8786 0.0635 0.5000
Pb1 0.0702 0.5702 0.5000
Pb2 0.0734 0.9257 0.6998
Pb3 0.2259 0.3736 0.3002
Pb4 0.3736 0.0734 0.1477
Pb5 0.4257 0.5734 0.6998
Pb6 0.5702 0.0702 0.5000
Pb7 0.5734 0.8736 0.1477
Pb8 0.7259 0.4257 0.8523
Pb9 0.8736 0.7259 0.3002
Pb10 0.9257 0.2259 0.8523
F1 0.0106 0.3793 0.2575
F2 0.0497 0.7905 0.5000
F3 0.0591 0.8848 0.9285
F4 0.1124 0.7594 0.1356
F5 0.1218 0.7531 0.7425
F6 0.1237 0.2594 0.6470
F7 0.1306 0.0591 0.1743
F8 0.2487 0.7487 0.3580
F9 0.2510 0.2510 0.0000
F10 0.2531 0.6218 0.7425
F11 0.2594 0.6124 0.1356
F12 0.2905 0.5497 0.5000
F13 0.3715 0.8715 0.9881
F14 0.3793 0.1218 0.3687
F15 0.3834 0.3715 0.5000
F16 0.3848 0.5591 0.9285
F17 0.3907 0.8907 0.6420
F18 0.4563 0.3848 0.8257
F19 0.4768 0.1237 0.8644
F20 0.5106 0.2531 0.6313
F21 0.5497 0.0497 0.2592
F22 0.5591 0.6306 0.1743
F23 0.6124 0.4768 0.3530
F24 0.6218 0.8793 0.3687
F25 0.6237 0.9768 0.8644
F26 0.6306 0.4563 0.0715
F27 0.7487 0.3907 0.5000
F28 0.7510 0.7510 0.0000
F29 0.7531 0.0106 0.6313
F30 0.7594 0.6237 0.6470
F31 0.7905 0.2905 0.7408
F32 0.8715 0.8834 0.5000
F33 0.8793 0.5106 0.2575
F34 0.8834 0.3834 0.0119
F35 0.8848 0.9563 0.8257
F36 0.8907 0.2487 0.5000
F37 0.9563 0.1306 0.0715
F38 0.9768 0.1124 0.3530
```